Theoretical powder diffractogram
Compound: Sb2F7
Radiation: λ = 1.5418 Å (Cu Kα)
Structure: a GGA-PBE-relaxed structure
Lines closer than 0.1° are merged.

Cell and atoms:
a b c (Å): 4.8884 11.0535 11.0763
angles (deg): 90.00 95.04 90.00
Element x y z (fractional)
Sb 0.0667 0.2500 0.4739
Sb 0.2992 0.5606 0.2352
Sb 0.2992 0.9394 0.2352
Sb 0.4035 0.7500 0.9259
Sb 0.5965 0.2500 0.0741
Sb 0.7008 0.0606 0.7648
Sb 0.7008 0.4394 0.7648
Sb 0.9333 0.7500 0.5261
F 0.0888 0.0215 0.7839
F 0.0888 0.4785 0.7839
F 0.1477 0.6269 0.4546
F 0.1477 0.8731 0.4546
F 0.1811 0.7500 0.6699
F 0.1868 0.7500 0.2286
F 0.2800 0.1252 0.4063
F 0.2800 0.3748 0.4063
F 0.2814 0.5926 0.0553
F 0.2814 0.9074 0.0553
F 0.2980 0.2500 0.9484
F 0.3162 0.2500 0.6180
F 0.3605 0.1240 0.1570
F 0.3605 0.3760 0.1570
F 0.6395 0.6240 0.8430
F 0.6395 0.8760 0.8430
F 0.6838 0.7500 0.3820
F 0.7020 0.7500 0.0516
F 0.7186 0.0926 0.9447
F 0.7186 0.4074 0.9447
F 0.7200 0.6252 0.5937
F 0.7200 0.8748 0.5937
F 0.8132 0.2500 0.7714
F 0.8189 0.2500 0.3301
F 0.8523 0.1269 0.5454
F 0.8523 0.3731 0.5454
F 0.9112 0.5215 0.2161
F 0.9112 0.9785 0.2161

Largest 8 diffraction maxima, in order of rising 2θ, 5 to 70 degrees two-theta:
h k l  2θ/deg  intensity
1 0 1  20.57  1000
0 2 2  22.78  928
1 1 -2  24.65  279
1 2 -1  25.17  804
0 3 1  25.50  689
1 0 -3  29.12  207
1 3 -4  43.81  235
0 3 5  48.04  293


Theoretical powder diffractogram
Compound: Sn3SbF9
Radiation: λ = 1.5418 Å (Cu Kα)
Structure: a GGA-PBE-relaxed structure
Lines closer than 0.1° are merged.

Cell and atoms:
a b c (Å): 4.8471 9.3324 21.6883
angles (deg): 90.00 90.00 90.00
Element x y z (fractional)
Sn 0.0009 0.0108 0.1218
Sn 0.0009 0.0108 0.3782
Sn 0.0009 0.4892 0.6218
Sn 0.0009 0.4892 0.8782
Sn 0.4318 0.2500 0.0000
Sn 0.4318 0.2500 0.5000
Sn 0.5682 0.7500 0.0000
Sn 0.5682 0.7500 0.5000
Sn 0.9991 0.5108 0.1218
Sn 0.9991 0.5108 0.3782
Sn 0.9991 0.9892 0.6218
Sn 0.9991 0.9892 0.8782
Sb 0.4547 0.7494 0.2500
Sb 0.4547 0.7506 0.7500
Sb 0.5453 0.2494 0.2500
Sb 0.5453 0.2506 0.7500
F 0.1034 0.1758 0.5585
F 0.1034 0.1758 0.9415
F 0.1034 0.3242 0.0585
F 0.1034 0.3242 0.4415
F 0.2690 0.1747 0.1868
F 0.2690 0.1747 0.3132
F 0.2690 0.3253 0.6868
F 0.2690 0.3253 0.8132
F 0.2750 0.6378 0.6629
F 0.2750 0.6378 0.8371
F 0.2750 0.8622 0.1629
F 0.2750 0.8622 0.3371
F 0.3213 0.0744 0.7500
F 0.3213 0.4256 0.2500
F 0.3234 0.0431 0.0564
F 0.3234 0.0431 0.4436
F 0.3234 0.4569 0.5564
F 0.3234 0.4569 0.9436
F 0.6766 0.5431 0.0564
F 0.6766 0.5431 0.4436
F 0.6766 0.9569 0.5564
F 0.6766 0.9569 0.9436
F 0.6787 0.5744 0.7500
F 0.6787 0.9256 0.2500
F 0.7250 0.1378 0.6629
F 0.7250 0.1378 0.8371
F 0.7250 0.3622 0.1629
F 0.7250 0.3622 0.3371
F 0.7310 0.6747 0.1868
F 0.7310 0.6747 0.3132
F 0.7310 0.8253 0.6868
F 0.7310 0.8253 0.8132
F 0.8966 0.6758 0.5585
F 0.8966 0.6758 0.9415
F 0.8966 0.8242 0.0585
F 0.8966 0.8242 0.4415

Largest 8 diffraction maxima, in order of rising 2θ, 5 to 70 degrees two-theta:
h k l  2θ/deg  intensity
1 0 4  24.64  1000
0 2 4  25.18  903
1 2 0  26.51  703
0 0 8  33.04  146
1 2 8  42.85  496
2 2 4  45.36  338
1 4 4  46.32  363
0 4 8  51.69  145


Theoretical powder diffractogram
Compound: Tc3SbF
Radiation: λ = 1.5418 Å (Cu Kα)
Structure: a GGA-PBE-relaxed structure
Lines closer than 0.1° are merged.

Cell and atoms:
a b c (Å): 4.2720 4.2720 4.2720
angles (deg): 90.00 90.00 90.00
Element x y z (fractional)
Tc 0.0000 0.0000 0.5000
Tc 0.0000 0.5000 0.0000
Tc 0.5000 0.0000 0.0000
Sb 0.5000 0.5000 0.5000
F 0.0000 0.0000 0.0000

Largest 5 diffraction maxima, in order of rising 2θ, 5 to 70 degrees two-theta:
h k l  2θ/deg  intensity
1 1 0  29.57  26
1 1 1  36.43  1000
2 0 0  42.31  588
2 1 1  52.47  9
2 2 0  61.38  377